Diffraction record for NaGeSbO5. The powder diffractogram is computed, not measured: it uses a crystal structure in the Materials Project, relaxed with PBE and CuKα.

The 12 most intense peaks (2θ from 10° to 90°), in order of rising 2θ:
(hkl)  d [Å]  I (rel.)
1 1 0  5.120  75.6
1 1 -1  4.989  25.3
1 1 -2  3.383  100.0
2 0 0  3.109  63.8
1 3 0  2.707  67.0
0 2 2  2.677  61.0
2 2 -2  2.495  23.2
3 1 -2  2.172  24.2
2 0 -4  1.825  20.4
2 2 2  1.754  20.3
3 3 0  1.707  24.9
1 5 -2  1.617  19.1

Cell: 6.871 9.021 7.353 Å, 90.00 115.18 90.00°
Space group C2/c (No. 15)
Asymmetric unit:
Na1 0.000 0.167 0.250 (multiplicity 4)
Ge1 0.000 0.186 0.750 (multiplicity 4)
Sb1 0.000 0.500 0.000 (multiplicity 4)
O1 0.000 0.421 0.250 (multiplicity 4)
O2 0.108 0.297 0.615 (multiplicity 8)
O3 0.192 0.062 0.920 (multiplicity 8)